Th6TlBi3: computed powder X-ray diffraction pattern (copper Kα), based on a DFT-relaxed cell (PBE, Alexandria).
Lines closer than 0.1° are merged.

Top 10 peaks for 2θ = 15–90°, in order of rising 2θ:
| d/Å | 2θ/deg | Rel. int. |
| --- | --- | --- |
| 3.110 | 28.70 | 33.9 |
| 3.089 | 28.90 | 21.0 |
| 2.971 | 30.08 | 95.5 |
| 2.946 | 30.34 | 100.0 |
| 2.854 | 31.34 | 29.7 |
| 2.725 | 32.87 | 21.1 |
| 2.581 | 34.75 | 20.8 |
| 2.574 | 34.86 | 34.8 |
| 2.531 | 35.47 | 35.3 |
| 1.531 | 60.46 | 20.8 |

```
data_Th6TlBi3
_chemical_formula_sum 'Th12 Tl2 Bi6'
_symmetry_space_group_name_H-M 'P 1'
_symmetry_Int_Tables_number 1
_cell_length_a 9.5101
_cell_length_b 9.5101
_cell_length_c 8.1561
_cell_angle_alpha 90.00
_cell_angle_beta 90.00
_cell_angle_gamma 114.24
loop_
_symmetry_equiv_pos_as_xyz
'x,y,z'
loop_
_atom_site_label
_atom_site_fract_x
_atom_site_fract_y
_atom_site_fract_z
Th1 0.0301 0.9699 0.5000
Th2 0.0888 0.4980 0.0112
Th3 0.2187 0.3333 0.3332
Th4 0.2778 0.7222 0.3899
Th5 0.3333 0.2187 0.8332
Th6 0.4980 0.0888 0.5112
Th7 0.5020 0.9112 0.0112
Th8 0.6667 0.7813 0.3332
Th9 0.7222 0.2778 0.8899
Th10 0.7813 0.6667 0.8332
Th11 0.9112 0.5020 0.5112
Th12 0.9699 0.0301 0.0000
Tl1 0.1826 0.8174 0.7656
Tl2 0.8174 0.1826 0.2656
Bi1 0.0545 0.2926 0.6915
Bi2 0.2926 0.0545 0.1915
Bi3 0.4550 0.5450 0.0400
Bi4 0.5450 0.4550 0.5400
Bi5 0.7074 0.9455 0.6915
Bi6 0.9455 0.7074 0.1915
```

***

Rb2ZnRhBr6: computed powder X-ray diffraction pattern (copper Kα), based on a DFT-relaxed cell (PBE, Alexandria).
Lines closer than 0.1° are merged.

Top 10 peaks for 2θ = 15–90°, in order of rising 2θ:
| d/Å | 2θ/deg | Rel. int. |
| --- | --- | --- |
| 5.292 | 16.75 | 23.8 |
| 3.732 | 23.84 | 36.9 |
| 3.047 | 29.31 | 99.4 |
| 2.646 | 33.88 | 100.0 |
| 2.625 | 34.15 | 49.1 |
| 1.871 | 48.67 | 34.8 |
| 1.864 | 48.87 | 69.0 |
| 1.594 | 57.83 | 27.3 |
| 1.524 | 60.79 | 35.2 |
| 1.183 | 81.31 | 15.2 |

```
data_Rb2ZnRhBr6
_chemical_formula_sum 'Rb2 Zn1 Rh1 Br6'
_symmetry_space_group_name_H-M 'P 1'
_symmetry_Int_Tables_number 1
_cell_length_a 7.4545
_cell_length_b 7.4545
_cell_length_c 7.4545
_cell_angle_alpha 119.74
_cell_angle_beta 119.74
_cell_angle_gamma 90.45
loop_
_symmetry_equiv_pos_as_xyz
'x,y,z'
loop_
_atom_site_label
_atom_site_fract_x
_atom_site_fract_y
_atom_site_fract_z
Rb1 0.2500 0.7500 0.5000
Rb2 0.7500 0.2500 0.5000
Zn1 0.0000 0.0000 0.0000
Rh1 0.5000 0.5000 0.0000
Br1 0.2537 0.2537 0.0000
Br2 0.2564 0.2564 0.5128
Br3 0.2564 0.7436 0.0000
Br4 0.7436 0.2564 0.0000
Br5 0.7436 0.7436 0.4872
Br6 0.7463 0.7463 0.0000
```